Diffraction record for CsGeAu3. The XRD peak list is theoretical, not measured: it uses a PBE-relaxed structure and Cu Kα, 1.54184 Å.
Kinematic intensities with the Lorentz-polarization factor, no thermal factor.

The 10 most intense peaks (2θ from 5° to 70°), low angle first:
d/Å  2theta  I/Imax  (hkl)
5.114  17.3  31  1 0 1
3.005  29.7  90  0 1 2
2.901  30.8  67  2 1 0
2.557  35.1  100  2 0 2
2.287  39.4  14  2 1 2
2.242  40.2  11  3 0 1
2.053  44.1  16  3 1 1
1.807  50.5  35  2 2 2
1.565  59.0  21  2 1 4
1.521  60.9  11  4 1 2

Atomic structure:
Cell: 7.054 5.104 7.437 Å, 90.00 90.00 90.00°
Space group Pmn2_1 (No. 31)
Unique sites:
Cs  0.000  0.011  0.000
Ge  0.000  0.584  0.596
Au  0.000  0.064  0.498
Au  0.206  0.469  0.293